Structure and theoretical powder diffractogram of Rb2MgNbSe4 (a cell relaxed with GGA-PBE; Cu Kα X-rays).

Most intense lines, 15 to 90 degrees two-theta, by angle:
d_spacing, I/Imax
3.630, 24
3.470, 100
3.150, 18
3.040, 40
2.505, 39
1.962, 24
1.905, 24
1.863, 17

Structure:
```
Rb2MgNbSe4
1.0
0.0000 7.2126 12.6007
3.1238 0.0000 12.6007
3.1238 7.2126 0.0000
Rb Mg Nb Se
4 2 2 8
direct
0.0543 0.0543 0.6957
0.3043 0.3043 0.9457
0.6957 0.6957 0.0543
0.9457 0.9457 0.3043
0.1250 0.1250 0.1250
0.8750 0.8750 0.8750
0.3750 0.3750 0.3750
0.6250 0.6250 0.6250
0.0169 0.3424 0.4336
0.2929 0.5664 0.6576
0.3424 0.0169 0.7071
0.4336 0.7071 0.0169
0.5664 0.2929 0.9831
0.6576 0.9831 0.2929
0.7071 0.4336 0.3424
0.9831 0.6576 0.5664
```